Structure and calculated X-ray powder pattern of La3Sn6Pd4 (a cell relaxed with GGA-PBE; Cu Ka).
Intensities are scaled so that the largest is 100.

Principal peaks in the range 2θ = 15–90°, low angle first:
| d (Å) | I/Imax |
| --- | --- |
| 3.099 | 18 |
| 2.852 | 100 |
| 2.723 | 37 |
| 2.610 | 13 |
| 2.510 | 26 |
| 2.343 | 46 |
| 2.219 | 14 |
| 1.840 | 11 |
| 1.713 | 14 |
| 1.432 | 12 |

```
data_La3Sn6Pd4
_cell_length_a 17.115
_cell_length_b 4.685
_cell_length_c 15.845
_cell_angle_alpha 90.00
_cell_angle_beta 90.00
_cell_angle_gamma 90.00
_symmetry_space_group_name_H-M 'P n m a'
_symmetry_Int_Tables_number 62
_symmetry_space_group_name_Hall '-P 2ac 2n'
loop_
_atom_site_label
_atom_site_fract_x
_atom_site_fract_y
_atom_site_fract_z
La1 0.116 0.250 0.249
La2 0.142 0.750 0.618
La3 0.149 0.250 0.983
Sn1 0.026 0.750 0.918
Sn2 0.052 0.250 0.462
Sn3 0.057 0.250 0.770
Sn4 0.171 0.750 0.394
Sn5 0.189 0.750 0.837
Sn6 0.206 0.750 0.120
Pd1 0.011 0.750 0.379
Pd2 0.048 0.750 0.100
Pd3 0.209 0.250 0.475
Pd4 0.217 0.250 0.766
```